[1]
Diffraction record for KCuBr2. The X-ray diffraction stick pattern is simulated, not measured: it uses a PBE-relaxed structure and a wavelength of 1.5418 Å.
Lines closer than 0.1° are merged.

Structure:
Lattice parameters (Å, degrees): 7.4684 7.4684 7.4684 32.58 32.58 32.58
Element x y z (fractional)
K 0.0000 0.0000 0.0000
Cu 0.5000 0.5000 0.5000
Br 0.2313 0.2313 0.2313
Br 0.7687 0.7687 0.7687

The 12 most intense peaks (2θ from 10° to 90°), by angle:
two_theta, I_rel
12.5, 27
29.8, 100
38.7, 17
42.2, 24
43.2, 40
45.1, 7
53.4, 18
53.9, 10
62.0, 7
71.0, 15
78.5, 7
79.2, 6



[2]
Diffraction record for K2CuBr5. The X-ray diffraction stick pattern is simulated, not measured: it uses a PBE-relaxed structure and a wavelength of 1.5418 Å.
Lines closer than 0.1° are merged.

Structure:
Lattice parameters (Å, degrees): 7.0300 7.0300 7.0300 113.75 113.75 101.22
Element x y z (fractional)
K 0.0000 0.5000 0.5000
K 0.5000 0.0000 0.5000
Cu 0.2166 0.2166 0.0000
Br 0.0333 0.0333 0.5602
Br 0.0333 0.4731 0.0000
Br 0.4731 0.0333 0.0000
Br 0.4731 0.4731 0.4398
Br 0.9075 0.9075 0.0000

The 12 most intense peaks (2θ from 10° to 90°), by angle:
two_theta, I_rel
15.2, 59
19.9, 46
25.8, 22
30.7, 100
32.3, 29
33.0, 86
38.8, 24
43.7, 24
47.3, 25
52.9, 30
53.1, 21
57.5, 18



[3]
Diffraction record for K2CuBr3. The X-ray diffraction stick pattern is simulated, not measured: it uses a PBE-relaxed structure and a wavelength of 1.5418 Å.
Lines closer than 0.1° are merged.

Structure:
Lattice parameters (Å, degrees): 7.6212 7.6212 8.6346 109.72 109.72 63.62
Element x y z (fractional)
K 0.0265 0.6576 0.8370
K 0.3424 0.9735 0.6630
K 0.6576 0.0265 0.3370
K 0.9735 0.3424 0.1630
Cu 0.3986 0.6014 0.2500
Cu 0.6014 0.3986 0.7500
Br 0.0980 0.9020 0.2500
Br 0.3062 0.3728 0.5504
Br 0.3728 0.3062 0.0504
Br 0.6272 0.6938 0.9496
Br 0.6938 0.6272 0.4496
Br 0.9020 0.0980 0.7500

The 12 most intense peaks (2θ from 10° to 90°), by angle:
two_theta, I_rel
13.3, 29
21.5, 71
22.1, 29
23.5, 71
25.1, 41
27.1, 39
28.7, 57
31.0, 100
31.7, 29
33.6, 34
37.2, 40
45.8, 35



[4]
Diffraction record for K3CuBr4. The X-ray diffraction stick pattern is simulated, not measured: it uses a PBE-relaxed structure and a wavelength of 1.5418 Å.
Lines closer than 0.1° are merged.

Structure:
Lattice parameters (Å, degrees): 4.4786 13.3048 10.2441 90.00 90.00 90.00
Element x y z (fractional)
K 0.2500 0.0872 0.1819
K 0.2500 0.4128 0.1819
K 0.2500 0.7500 0.3652
K 0.7500 0.2500 0.6348
K 0.7500 0.5872 0.8181
K 0.7500 0.9128 0.8181
Cu 0.2500 0.2500 0.9123
Cu 0.7500 0.7500 0.0877
Br 0.2500 0.0907 0.7963
Br 0.2500 0.2500 0.4096
Br 0.2500 0.4093 0.7963
Br 0.2500 0.7500 0.9585
Br 0.7500 0.2500 0.0415
Br 0.7500 0.5907 0.2037
Br 0.7500 0.7500 0.5904
Br 0.7500 0.9093 0.2037

The 12 most intense peaks (2θ from 10° to 90°), by angle:
two_theta, I_rel
13.3, 75
20.9, 48
21.9, 88
26.4, 64
28.3, 42
29.7, 100
32.1, 40
33.4, 41
33.7, 42
40.3, 45
40.7, 47
58.6, 31



[5]
Diffraction record for KCuBr2. The X-ray diffraction stick pattern is simulated, not measured: it uses a PBE-relaxed structure and a wavelength of 1.5418 Å.
Lines closer than 0.1° are merged.

Structure:
Lattice parameters (Å, degrees): 4.5706 4.2167 7.1235 90.00 90.32 90.00
Element x y z (fractional)
K 0.0000 0.0000 0.0000
Cu 0.4990 0.5000 0.5154
Br 0.4985 0.5000 0.8500
Br 0.5018 0.0000 0.3535

The 12 most intense peaks (2θ from 10° to 90°), by angle:
two_theta, I_rel
19.4, 100
23.1, 22
23.2, 23
24.5, 60
25.0, 36
28.8, 25
31.5, 78
39.4, 32
42.9, 29
43.8, 47
47.5, 19
48.2, 18



[6]
Diffraction record for K2LiCu2Br7. The X-ray diffraction stick pattern is simulated, not measured: it uses a PBE-relaxed structure and a wavelength of 1.5418 Å.
Lines closer than 0.1° are merged.

Structure:
Lattice parameters (Å, degrees): 5.1562 5.1562 13.5249 100.98 100.98 90.00
Element x y z (fractional)
K 0.1762 0.1762 0.3544
K 0.8238 0.8238 0.6456
Li 0.0000 0.0000 0.0000
Cu 0.4034 0.4034 0.8051
Cu 0.5966 0.5966 0.1949
Br 0.0873 0.5869 0.1759
Br 0.3066 0.3066 0.6119
Br 0.4131 0.9127 0.8241
Br 0.5000 0.5000 0.0000
Br 0.5869 0.0873 0.1759
Br 0.6934 0.6934 0.3881
Br 0.9127 0.4131 0.8241

The 12 most intense peaks (2θ from 10° to 90°), by angle:
two_theta, I_rel
13.6, 34
17.5, 77
25.4, 26
32.1, 79
34.4, 32
34.8, 100
35.6, 20
49.8, 43
50.0, 34
60.7, 24
62.1, 22
84.0, 23



[7]
Diffraction record for KLiCuBr4. The X-ray diffraction stick pattern is simulated, not measured: it uses a PBE-relaxed structure and a wavelength of 1.5418 Å.
Lines closer than 0.1° are merged.

Structure:
Lattice parameters (Å, degrees): 6.5860 7.6019 8.9882 90.00 104.17 90.00
Element x y z (fractional)
K 0.2301 0.2500 0.0825
K 0.7699 0.7500 0.9175
Li 0.3105 0.2500 0.6699
Li 0.6895 0.7500 0.3301
Cu 0.1933 0.7500 0.3223
Cu 0.8067 0.2500 0.6777
Br 0.0579 0.0155 0.7334
Br 0.0579 0.4845 0.7334
Br 0.3673 0.7500 0.1015
Br 0.4868 0.7500 0.5361
Br 0.5132 0.2500 0.4639
Br 0.6327 0.2500 0.8985
Br 0.9421 0.5155 0.2666
Br 0.9421 0.9845 0.2666

The 12 most intense peaks (2θ from 10° to 90°), by angle:
two_theta, I_rel
15.5, 37
18.1, 19
21.7, 35
27.3, 100
27.5, 53
27.9, 52
30.4, 23
30.5, 34
31.2, 41
43.7, 31
45.8, 30
47.9, 48



[8]
Diffraction record for KLiCuBr3. The X-ray diffraction stick pattern is simulated, not measured: it uses a PBE-relaxed structure and a wavelength of 1.5418 Å.
Lines closer than 0.1° are merged.

Structure:
Lattice parameters (Å, degrees): 7.1791 7.1791 8.1053 107.52 107.52 73.61
Element x y z (fractional)
K 0.1940 0.1940 0.1319
K 0.8060 0.8060 0.8681
Li 0.4233 0.4233 0.7224
Li 0.5767 0.5767 0.2776
Cu 0.1545 0.8455 0.5000
Cu 0.8455 0.1545 0.5000
Br 0.1992 0.1992 0.5356
Br 0.2101 0.6779 0.2025
Br 0.3221 0.7899 0.7975
Br 0.6779 0.2101 0.2025
Br 0.7899 0.3221 0.7975
Br 0.8008 0.8008 0.4644

The 12 most intense peaks (2θ from 10° to 90°), by angle:
two_theta, I_rel
11.8, 30
13.2, 30
16.6, 26
23.8, 24
24.3, 52
26.5, 36
26.6, 100
31.1, 33
31.6, 32
35.9, 32
42.0, 33
48.8, 26



[9]
Diffraction record for KMg3Cu4Br12. The X-ray diffraction stick pattern is simulated, not measured: it uses a PBE-relaxed structure and a wavelength of 1.5418 Å.
Lines closer than 0.1° are merged.

Structure:
Lattice parameters (Å, degrees): 8.9240 8.9240 8.9240 106.22 106.22 106.22
Element x y z (fractional)
K 0.0000 0.0000 0.0000
Mg 0.0000 0.5681 0.4319
Mg 0.4319 0.0000 0.5681
Mg 0.5681 0.4319 0.0000
Cu 0.0827 0.5000 0.9173
Cu 0.5000 0.5000 0.5000
Cu 0.5000 0.9173 0.0827
Cu 0.9173 0.0827 0.5000
Br 0.0249 0.6526 0.7511
Br 0.0896 0.9104 0.5000
Br 0.2489 0.3474 0.9751
Br 0.3337 0.6663 0.5000
Br 0.3474 0.9751 0.2489
Br 0.5000 0.0896 0.9104
Br 0.5000 0.3337 0.6663
Br 0.6526 0.7511 0.0249
Br 0.6663 0.5000 0.3337
Br 0.7511 0.0249 0.6526
Br 0.9104 0.5000 0.0896
Br 0.9751 0.2489 0.3474

The 12 most intense peaks (2θ from 10° to 90°), by angle:
two_theta, I_rel
20.9, 54
22.5, 58
25.8, 54
26.0, 100
27.4, 96
31.4, 82
37.4, 32
40.5, 37
44.1, 33
45.8, 32
53.5, 35
55.0, 35



[10]
Diffraction record for K2NaCuBr5. The X-ray diffraction stick pattern is simulated, not measured: it uses a PBE-relaxed structure and a wavelength of 1.5418 Å.
Lines closer than 0.1° are merged.

Structure:
Lattice parameters (Å, degrees): 10.2022 10.2022 13.7118 90.00 90.00 155.91
Element x y z (fractional)
K 0.1259 0.8741 0.5000
K 0.1326 0.8674 0.8567
K 0.8674 0.1326 0.3567
K 0.8741 0.1259 0.0000
Na 0.2068 0.7932 0.2059
Na 0.7932 0.2068 0.7059
Cu 0.4395 0.5605 0.5922
Cu 0.5605 0.4395 0.0922
Br 0.0416 0.9584 0.1783
Br 0.3015 0.6985 0.8497
Br 0.3218 0.6782 0.5482
Br 0.3502 0.6498 0.1787
Br 0.4959 0.5041 0.4383
Br 0.5041 0.4959 0.9383
Br 0.6498 0.3502 0.6787
Br 0.6782 0.3218 0.0482
Br 0.6985 0.3015 0.3497
Br 0.9584 0.0416 0.6783

The 12 most intense peaks (2θ from 10° to 90°), by angle:
two_theta, I_rel
21.4, 24
25.0, 17
26.4, 33
27.6, 65
28.1, 37
29.0, 100
30.7, 19
33.4, 32
42.5, 29
46.6, 32
47.2, 20
51.4, 22



[11]
Diffraction record for KNdCuBr6. The X-ray diffraction stick pattern is simulated, not measured: it uses a PBE-relaxed structure and a wavelength of 1.5418 Å.
Lines closer than 0.1° are merged.

Structure:
Lattice parameters (Å, degrees): 6.9924 6.9941 7.4734 93.68 93.62 113.19
Element x y z (fractional)
K 0.0000 0.0000 0.0000
Nd 0.3363 0.6660 0.5007
Cu 0.6920 0.3125 0.4996
Br 0.0125 0.3385 0.6769
Br 0.0175 0.6086 0.2289
Br 0.3931 0.9819 0.7749
Br 0.4246 0.3424 0.2864
Br 0.6586 0.5764 0.7149
Br 0.6638 0.9896 0.3244

The 12 most intense peaks (2θ from 10° to 90°), by angle:
two_theta, I_rel
11.9, 93
13.8, 29
17.4, 27
19.2, 25
19.3, 38
24.9, 77
27.8, 30
29.0, 100
31.6, 50
36.4, 60
42.4, 49
43.8, 30



[12]
Diffraction record for KCuOsBr6. The X-ray diffraction stick pattern is simulated, not measured: it uses a PBE-relaxed structure and a wavelength of 1.5418 Å.
Lines closer than 0.1° are merged.

Structure:
Lattice parameters (Å, degrees): 6.7472 6.7472 7.3706 90.00 90.00 120.00
Element x y z (fractional)
K 0.0000 0.0000 0.0000
Cu 0.3333 0.6667 0.5000
Os 0.6667 0.3333 0.5000
Br 0.3726 0.0154 0.6926
Br 0.3726 0.3572 0.3074
Br 0.6428 0.0154 0.3074
Br 0.6428 0.6274 0.6926
Br 0.9846 0.3572 0.6926
Br 0.9846 0.6274 0.3074

The 12 most intense peaks (2θ from 10° to 90°), by angle:
two_theta, I_rel
12.0, 100
15.2, 42
19.4, 65
29.1, 83
36.1, 84
42.7, 19
45.7, 32
46.6, 35
48.4, 28
55.9, 19
56.9, 17
60.3, 16